The following is a calculated X-ray diffraction stick pattern of Ce3B2Cl3O6. It was derived from a PBE-relaxed structure, using λ = 1.5418 Å (Cu Kα).

Atomic structure:
Unit cell a=9.3064 b=9.3064 c=5.8548 alpha=90.00 beta=90.00 gamma=120.00
Space group P6_3/m (No. 176)
Asymmetric unit:
1 Ce 0.0402 0.6566 0.2500
2 B 0.3333 0.6667 0.5126
3 Cl 0.0343 0.7953 0.7500
4 O 0.1688 0.5430 0.9996

Largest 12 diffraction maxima, by angle, 2θ from 10° to 80°:
hkl 1 1 0, 19.07 deg, d = 4.653 Å, I = 300
hkl 1 1 1, 24.44 deg, d = 3.643 Å, I = 1000
hkl 0 0 2, 30.54 deg, d = 2.927 Å, I = 205
hkl 1 2 1, 33.15 deg, d = 2.702 Å, I = 474
hkl 3 0 0, 33.35 deg, d = 2.687 Å, I = 260
hkl 1 1 2, 36.25 deg, d = 2.478 Å, I = 309
hkl 2 2 1, 41.78 deg, d = 2.162 Å, I = 250
hkl 1 2 2, 42.84 deg, d = 2.111 Å, I = 181
hkl 3 0 2, 45.84 deg, d = 1.979 Å, I = 262
hkl 4 0 1, 47.74 deg, d = 1.905 Å, I = 126
hkl 1 1 3, 50.73 deg, d = 1.800 Å, I = 144
hkl 1 4 1, 54.48 deg, d = 1.684 Å, I = 127